Structure and calculated powder X-ray diffraction pattern of La3Mg2VS8 (DFT lattice parameters and positions (GGA-PBE); λ = 1.5418 Å (Cu Kα)).
Lines closer than 0.1° are merged.

Cell and atoms:
Cell lengths 7.921, 7.940, 7.943 Å; angles 61.16, 61.09, 61.17 degrees
Space group P-1 (No. 2)
Unique sites:
La  0.000  0.000  0.000
La  0.000  0.500  0.500
La  0.500  0.000  0.500
Mg  0.374  0.375  0.874
V  0.000  0.000  0.500
S  0.227  0.227  0.266
S  0.229  0.764  0.729
S  0.234  0.773  0.273
S  0.248  0.249  0.748

Principal peaks in the range 10 to 90 degrees two-theta, sorted by position:
2θ = 13.5°, I = 56.1
2θ = 13.8°, I = 42.5
2θ = 25.9°, I = 62.4
2θ = 26.1°, I = 33.2
2θ = 26.4°, I = 18.6
2θ = 31.6°, I = 100.0
2θ = 34.6°, I = 17.1
2θ = 44.9°, I = 31.8
2θ = 45.0°, I = 15.8
2θ = 45.7°, I = 29.0